Theoretical powder X-ray diffraction pattern
Compound: CoH4Br2O2
Radiation: λ = 1.5418 Å (Cu Kα)
Structure: a structure optimized by DFT (PBE+U)
Lines closer than 0.1° are merged.

Crystal structure
a b c (Å): 5.7487 5.7487 3.7229
angles (deg): 95.61 95.61 96.66
Positions (direct):
Co 0.0000 0.0000 0.0000
H 0.2156 0.6076 0.8573
H 0.3924 0.7844 0.1427
H 0.6076 0.2156 0.8573
H 0.7844 0.3924 0.1427
Br 0.2436 0.2436 0.5714
Br 0.7564 0.7564 0.4286
O 0.2357 0.7643 0.0000
O 0.7643 0.2357 0.0000

Principal peaks in the range 2θ from 10° to 90°, by intensity:
Position (°2θ)	I/Imax
20.7	100
31.3	61
15.6	56
36.5	40
30.4	38
31.5	37
37.8	34
42.3	30